(1)
The following is a simulated X-ray powder pattern of Ti5Al2C3. It was derived from a structure optimized by DFT (GGA-PBE), using Cu Kα X-rays.
Intensities are scaled so that the largest is 1000.

Top 12 peaks for 2θ = 15–90°, in order of falling intensity:
2θ/deg  I_rel  h k l
39.53  1000  0 1 11
38.56  872  1 0 10
60.23  416  1 1 0
38.90  378  0 0 21
74.05  303  1 1 21
33.73  169  1 0 1
33.88  168  0 1 2
71.50  138  0 1 32
69.58  132  1 0 31
74.46  131  2 0 11
53.93  121  1 0 22
41.65  114  1 0 13

Cell and atoms:
```
data_Ti5Al2C3
_cell_length_a 3.0731
_cell_length_b 3.0731
_cell_length_c 48.6188
_cell_angle_alpha 90.00
_cell_angle_beta 90.00
_cell_angle_gamma 120.00
_space_group_name_H-M_alt 'R -3 m'
_space_group_IT_number 166
_space_group_name_Hall '-R 3 2"'
loop_
_atom_site_label
_atom_site_fract_x
_atom_site_fract_y
_atom_site_fract_z
Ti1 0.0000 0.0000 0.0000
Ti2 0.0000 0.0000 0.1902
Ti3 0.0000 0.0000 0.2848
Al1 0.0000 0.0000 0.0961
C1 0.0000 0.0000 0.3600
C2 0.0000 0.0000 0.5000
```

=====

(2)
The following is a simulated X-ray powder pattern of BaAg4O7. It was derived from a structure optimized by DFT (GGA-PBE), using Cu Kα X-rays.
Intensities are scaled so that the largest is 1000.

Top 12 peaks for 2θ = 15–90°, in order of falling intensity:
2θ/deg  I_rel  h k l
30.96  1000  2 0 1
30.15  895  1 1 2
16.70  841  1 0 1
30.69  358  0 0 4
53.22  333  2 2 0
49.65  315  2 0 5
27.40  308  1 0 3
62.69  264  2 2 4
33.77  253  2 0 2
48.39  249  3 0 2
38.05  214  2 0 3
54.23  147  1 1 6

Cell and atoms:
```
data_BaAg4O7
_cell_length_a 6.8850
_cell_length_b 6.8850
_cell_length_c 11.6534
_cell_angle_alpha 90.00
_cell_angle_beta 90.00
_cell_angle_gamma 120.00
_space_group_name_H-M_alt 'P 63 m c'
_space_group_IT_number 186
_space_group_name_Hall 'P 6c -2c'
loop_
_atom_site_label
_atom_site_fract_x
_atom_site_fract_y
_atom_site_fract_z
Ba1 0.3333 0.6667 0.0000
Ag1 0.0000 0.0000 0.4668
Ag2 0.1755 0.3511 0.7244
O1 0.0000 0.0000 0.2849
O2 0.0663 0.5332 0.8199
O3 0.1529 0.3058 0.5521
```